For Cs2LiInI4, a GGA-PBE-relaxed structure gives the theoretical powder diffractogram in this record (copper Kα).
No peak broadening, texture or thermal motion is included.

Most intense lines, 10 to 80 degrees two-theta, low angle first:
| d [Å] | Rel. int. |
| --- | --- |
| 4.329 | 11 |
| 3.628 | 100 |
| 3.579 | 41 |
| 3.307 | 24 |
| 2.783 | 13 |
| 2.569 | 17 |
| 2.562 | 20 |
| 2.548 | 61 |
| 2.085 | 32 |
| 1.620 | 10 |

Crystal structure
a = 10.186 Å, b = 10.186 Å, c = 10.247 Å
α = 120.10°, β = 120.10°, γ = 89.30°
Positions (direct):
Cs  0.000  0.000  0.000
Cs  0.000  0.000  0.500
Cs  0.000  0.500  0.000
Cs  0.500  0.000  0.500
Li  0.500  0.500  0.000
Li  0.500  0.500  0.500
In  0.000  0.500  0.500
In  0.500  0.000  0.000
I  0.276  0.293  0.533
I  0.285  0.715  0.517
I  0.285  0.715  0.983
I  0.293  0.276  0.033
I  0.707  0.724  0.967
I  0.715  0.285  0.017
I  0.715  0.285  0.483
I  0.724  0.707  0.467

=====

For Cs3Mg2InI9, a GGA-PBE-relaxed structure gives the theoretical powder diffractogram in this record (copper Kα).
No peak broadening, texture or thermal motion is included.

Most intense lines, 10 to 80 degrees two-theta, low angle first:
| d [Å] | Rel. int. |
| --- | --- |
| 4.250 | 5 |
| 3.470 | 100 |
| 3.005 | 80 |
| 2.125 | 59 |
| 1.812 | 46 |
| 1.735 | 21 |
| 1.503 | 10 |
| 1.379 | 18 |
| 1.344 | 26 |
| 1.227 | 19 |

Crystal structure
a = 8.497 Å, b = 8.497 Å, c = 10.416 Å
α = 90.00°, β = 90.00°, γ = 120.00°
Positions (direct):
Cs  0.000  0.000  0.000
Cs  0.333  0.667  0.666
Cs  0.667  0.333  0.334
Mg  0.333  0.667  0.159
Mg  0.667  0.333  0.841
In  0.000  0.000  0.500
I  0.000  0.500  0.000
I  0.172  0.345  0.329
I  0.172  0.828  0.329
I  0.345  0.172  0.671
I  0.500  0.000  0.000
I  0.500  0.500  0.000
I  0.655  0.828  0.329
I  0.828  0.172  0.671
I  0.828  0.655  0.671

=====

For CsMgIn2I8, a GGA-PBE-relaxed structure gives the theoretical powder diffractogram in this record (copper Kα).
No peak broadening, texture or thermal motion is included.

Most intense lines, 10 to 80 degrees two-theta, low angle first:
| d [Å] | Rel. int. |
| --- | --- |
| 3.841 | 83 |
| 3.759 | 78 |
| 3.574 | 100 |
| 3.199 | 26 |
| 3.148 | 54 |
| 3.047 | 25 |
| 2.686 | 53 |
| 2.286 | 51 |
| 2.170 | 59 |
| 1.889 | 51 |

Crystal structure
a = 12.313 Å, b = 12.313 Å, c = 12.313 Å
α = 35.55°, β = 35.55°, γ = 35.55°
Positions (direct):
Cs  0.000  0.000  0.000
Mg  0.500  0.500  0.500
In  0.244  0.244  0.244
In  0.756  0.756  0.756
I  0.157  0.406  0.765
I  0.235  0.594  0.843
I  0.325  0.325  0.325
I  0.406  0.765  0.157
I  0.594  0.843  0.235
I  0.675  0.675  0.675
I  0.765  0.157  0.406
I  0.843  0.235  0.594

=====

For Cs2NpInI6, a GGA-PBE-relaxed structure gives the theoretical powder diffractogram in this record (copper Kα).
No peak broadening, texture or thermal motion is included.

Most intense lines, 10 to 80 degrees two-theta, low angle first:
| d [Å] | Rel. int. |
| --- | --- |
| 7.652 | 32 |
| 6.484 | 64 |
| 4.582 | 32 |
| 3.826 | 30 |
| 3.668 | 40 |
| 3.249 | 100 |
| 3.231 | 56 |
| 3.151 | 22 |
| 2.291 | 66 |
| 2.228 | 24 |

Crystal structure
a = 8.910 Å, b = 12.923 Å, c = 9.496 Å
α = 90.00°, β = 90.00°, γ = 90.00°
Positions (direct):
Cs  0.250  0.035  0.201
Cs  0.250  0.465  0.201
Cs  0.750  0.535  0.799
Cs  0.750  0.965  0.799
Np  0.250  0.750  0.781
Np  0.750  0.250  0.219
In  0.250  0.250  0.714
In  0.750  0.750  0.286
I  0.007  0.750  0.018
I  0.008  0.250  0.437
I  0.250  0.510  0.783
I  0.250  0.990  0.783
I  0.492  0.250  0.437
I  0.493  0.750  0.018
I  0.507  0.250  0.982
I  0.508  0.750  0.563
I  0.750  0.010  0.217
I  0.750  0.490  0.217
I  0.992  0.750  0.563
I  0.993  0.250  0.982

=====

Which formula does entry 3 have? CsMgIn2I8

=====

What did the second record say?
For Cs3Mg2InI9, a GGA-PBE-relaxed structure gives the theoretical powder diffractogram in this record (copper Kα).
No peak broadening, texture or thermal motion is included.

Most intense lines, 10 to 80 degrees two-theta, low angle first:
| d [Å] | Rel. int. |
| --- | --- |
| 4.250 | 5 |
| 3.470 | 100 |
| 3.005 | 80 |
| 2.125 | 59 |
| 1.812 | 46 |
| 1.735 | 21 |
| 1.503 | 10 |
| 1.379 | 18 |
| 1.344 | 26 |
| 1.227 | 19 |

Crystal structure
a = 8.497 Å, b = 8.497 Å, c = 10.416 Å
α = 90.00°, β = 90.00°, γ = 120.00°
Positions (direct):
Cs  0.000  0.000  0.000
Cs  0.333  0.667  0.666
Cs  0.667  0.333  0.334
Mg  0.333  0.667  0.159
Mg  0.667  0.333  0.841
In  0.000  0.000  0.500
I  0.000  0.500  0.000
I  0.172  0.345  0.329
I  0.172  0.828  0.329
I  0.345  0.172  0.671
I  0.500  0.000  0.000
I  0.500  0.500  0.000
I  0.655  0.828  0.329
I  0.828  0.172  0.671
I  0.828  0.655  0.671